1.
# NdAl20Cr2
Calculated powder XRD pattern, Cu Kα. Input: a crystal structure in Alexandria, relaxed with GGA-PBE.
Neutral-atom scattering factors, no anomalous dispersion.

The 10 most intense peaks (2θ from 10° to 80°), by intensity:
- d 2.494, I = 100.0, hkl 5 3 1
- d 2.225, I = 45.7, hkl 6 2 2
- d 2.333, I = 43.4, hkl 6 2 0
- d 2.250, I = 42.4, hkl 5 3 3
- d 5.217, I = 35.6, hkl 2 2 0
- d 2.609, I = 31.1, hkl 4 4 0
- d 8.520, I = 30.7, hkl 1 1 1
- d 1.304, I = 28.6, hkl 8 8 0
- d 1.739, I = 26.0, hkl 8 2 2
- d 1.483, I = 20.8, hkl 9 3 3

Structural model:
a = 14.757 Å, b = 14.757 Å, c = 14.757 Å
α = 90.00°, β = 90.00°, γ = 90.00°
Space group Fd-3m (No. 227, origin choice 2)
One atom of each set of equivalent atoms:
Nd 0.125 0.125 0.125 x8
Al 0.000 0.000 0.500 x16
Al 0.011 0.375 0.875 x48
Al 0.060 0.060 0.323 x96
Cr 0.000 0.000 0.000 x16



2.
# AlCr2Ni
Calculated powder XRD pattern, Cu Kα. Input: a crystal structure in Alexandria, relaxed with GGA-PBE.
Neutral-atom scattering factors, no anomalous dispersion.

The 10 most intense peaks (2θ from 10° to 80°), by intensity:
- d 2.085, I = 100.0, hkl 1 1 2
- d 2.063, I = 24.6, hkl 0 2 0
- d 1.950, I = 19.1, hkl 0 0 4
- d 1.417, I = 12.9, hkl 0 2 4
- d 1.539, I = 8.9, hkl 2 0 0
- d 1.234, I = 7.9, hkl 2 2 0
- d 3.648, I = 7.3, hkl 0 1 1
- d 1.208, I = 6.9, hkl 2 0 4
- d 3.899, I = 6.3, hkl 0 0 2
- d 2.467, I = 3.2, hkl 1 1 0

Structural model:
a = 3.078 Å, b = 4.127 Å, c = 7.799 Å
α = 90.00°, β = 90.00°, γ = 90.00°
Space group Imm2 (No. 44)
One atom of each set of equivalent atoms:
Al 0.000 0.000 0.000 x2
Cr 0.000 0.000 0.492 x2
Cr 0.000 0.500 0.770 x2
Ni 0.000 0.500 0.251 x2